Calculated powder diffraction line list of LiFePO4 for Cu Kα (λ = 1.5418 Å), from a crystal structure in the Materials Project, relaxed with GGA+U.
Neutral-atom scattering factors, no anomalous dispersion.

Structural model:
```
data_LiFePO4
_symmetry_space_group_name_H-M 'P -1'
_symmetry_Int_Tables_number 2
_cell_length_a 4.606
_cell_length_b 5.256
_cell_length_c 7.524
_cell_angle_alpha 89.62
_cell_angle_beta 76.94
_cell_angle_gamma 76.19
loop_
_symmetry_equiv_pos_as_xyz
'x,y,z'
'-x,-y,-z'
loop_
_atom_site_label
_atom_site_fract_x
_atom_site_fract_y
_atom_site_fract_z
Li1 0.226 0.285 0.014
Fe1 0.454 0.235 0.396
P1 0.146 0.807 0.260
O1 0.141 0.657 0.087
O2 0.188 0.088 0.623
O3 0.297 0.042 0.206
O4 0.334 0.623 0.381
```

Most intense lines, 15 to 90 degrees two-theta, by angle:
2θ (°), Rel. int., (hkl)
20.41, 15, 1 0 0
24.57, 27, 1 1 1
26.13, 100, 1 0 -1
28.19, 16, 1 1 -1
29.32, 30, 0 1 -2
30.27, 39, 1 -1 1
31.02, 48, 1 1 2
35.20, 23, 0 2 0
39.34, 19, 1 2 -1
40.52, 18, 1 1 3



Calculated powder diffraction line list of LiFePO4 for Cu Kα (λ = 1.5418 Å), from a crystal structure in the Materials Project, relaxed with GGA+U.
Neutral-atom scattering factors, no anomalous dispersion.

Structural model:
```
data_LiFePO4
_symmetry_space_group_name_H-M 'I m m a'
_symmetry_Int_Tables_number 74
_symmetry_space_group_name_Hall '-I 2b 2'
_cell_length_a 5.701
_cell_length_b 5.859
_cell_length_c 8.068
_cell_angle_alpha 90.00
_cell_angle_beta 90.00
_cell_angle_gamma 90.00
loop_
_atom_site_label
_atom_site_fract_x
_atom_site_fract_y
_atom_site_fract_z
Li1 0.250 0.250 0.250
Fe1 0.000 0.000 0.000
P1 0.000 0.250 0.629
O1 0.000 0.030 0.737
O2 0.223 0.250 0.513
```

Most intense lines, 15 to 90 degrees two-theta, by angle:
2θ (°), Rel. int., (hkl)
18.72, 31, 0 1 1
19.06, 29, 1 0 1
22.03, 37, 0 0 2
31.16, 24, 1 1 2
31.38, 41, 2 0 0
36.23, 100, 1 2 1
36.96, 49, 1 0 3
44.34, 34, 2 2 0
59.56, 22, 3 0 3
64.98, 47, 2 2 4



Calculated powder diffraction line list of LiFe2P3O12 for Cu Kα (λ = 1.5418 Å), from a crystal structure in the Materials Project, relaxed with GGA+U.
Neutral-atom scattering factors, no anomalous dispersion.

Structural model:
```
data_LiFe2P3O12
_symmetry_space_group_name_H-M 'P -1'
_symmetry_Int_Tables_number 2
_cell_length_a 8.261
_cell_length_b 8.266
_cell_length_c 8.736
_cell_angle_alpha 118.18
_cell_angle_beta 90.27
_cell_angle_gamma 119.71
loop_
_symmetry_equiv_pos_as_xyz
'x,y,z'
'-x,-y,-z'
loop_
_atom_site_label
_atom_site_fract_x
_atom_site_fract_y
_atom_site_fract_z
Li1 0.170 0.150 0.444
Fe1 0.143 0.290 0.928
Fe2 0.351 0.701 0.553
P1 0.032 0.777 0.742
P2 0.262 0.792 0.254
P3 0.464 0.508 0.748
O1 0.012 0.794 0.921
O2 0.095 0.989 0.747
O3 0.124 0.866 0.255
O4 0.174 0.704 0.688
O5 0.178 0.389 0.410
O6 0.217 0.597 0.066
O7 0.221 0.716 0.392
O8 0.252 0.362 0.741
O9 0.379 0.367 0.074
O10 0.473 0.320 0.581
O11 0.479 0.987 0.313
O12 0.488 0.686 0.713
```

Most intense lines, 15 to 90 degrees two-theta, by angle:
2θ (°), Rel. int., (hkl)
20.38, 100, 0 1 -2
21.46, 28, 1 -2 1
21.51, 20, 2 -1 0
24.69, 100, -2 1 1
24.77, 50, 1 -2 2
29.73, 62, 2 0 -2
29.88, 26, 2 -2 2
32.64, 53, -1 2 1
32.74, 28, 1 -2 3
48.62, 20, 1 -4 1



Calculated powder diffraction line list of Li7Fe4P6O24 for Cu Kα (λ = 1.5418 Å), from a crystal structure in the Materials Project, relaxed with GGA+U.
Neutral-atom scattering factors, no anomalous dispersion.

Structural model:
```
data_Li7Fe4P6O24
_symmetry_space_group_name_H-M 'P 1'
_symmetry_Int_Tables_number 1
_cell_length_a 8.645
_cell_length_b 8.661
_cell_length_c 8.918
_cell_angle_alpha 90.53
_cell_angle_beta 118.50
_cell_angle_gamma 119.64
loop_
_symmetry_equiv_pos_as_xyz
'x,y,z'
loop_
_atom_site_label
_atom_site_fract_x
_atom_site_fract_y
_atom_site_fract_z
Li1 0.000 0.000 0.000
Li2 0.034 0.117 0.512
Li3 0.268 0.567 0.184
Li4 0.312 0.712 0.683
Li5 0.372 0.060 0.905
Li6 0.800 0.247 0.206
Li7 0.855 0.587 0.737
Fe1 0.441 0.986 0.278
Fe2 0.456 0.486 0.786
Fe3 0.838 0.203 0.881
Fe4 0.850 0.701 0.401
P1 0.356 0.091 0.593
P2 0.368 0.310 0.087
P3 0.638 0.794 0.586
P4 0.659 0.892 0.095
P5 0.936 0.383 0.586
P6 0.944 0.604 0.089
O1 0.001 0.581 0.572
O2 0.125 0.366 0.642
O3 0.144 0.949 0.580
O4 0.156 0.739 0.101
O5 0.177 0.323 0.039
O6 0.303 0.110 0.101
O7 0.366 0.033 0.437
O8 0.369 0.275 0.598
O9 0.414 0.319 0.937
O10 0.471 0.653 0.625
O11 0.500 0.702 0.942
O12 0.510 0.808 0.399
O13 0.528 0.096 0.774
O14 0.530 0.973 0.092
O15 0.565 0.468 0.264
O16 0.748 0.227 0.402
O17 0.767 0.585 0.905
O18 0.771 0.724 0.585
O19 0.778 0.878 0.284
O20 0.799 0.987 0.739
O21 0.833 0.044 0.069
O22 0.875 0.365 0.726
O23 0.927 0.415 0.092
O24 0.938 0.671 0.243
```

Most intense lines, 15 to 90 degrees two-theta, by angle:
2θ (°), Rel. int., (hkl)
19.82, 77, 0 1 1
19.93, 47, 1 0 -2
23.70, 100, 2 -1 0
23.80, 68, 1 1 -2
23.94, 41, -2 1 2
28.57, 63, 2 0 0
28.89, 26, -2 2 2
31.63, 67, 1 -2 2
31.76, 32, 1 1 -3
31.85, 37, -1 2 2